PrHoOs: simulated X-ray diffraction stick pattern (Cu Ka), based on a crystal structure in Alexandria, relaxed with PBE.

Top 10 peaks for 15 to 90 degrees two-theta, in order of rising 2θ:
| hkl | 2θ (°) | I_rel |
| --- | --- | --- |
| 1 0 3 | 32.66 | 100 |
| 1 1 0 | 36.88 | 55 |
| 1 1 2 | 39.28 | 14 |
| 1 0 5 | 42.39 | 50 |
| 2 0 0 | 53.14 | 19 |
| 0 0 8 | 54.07 | 9 |
| 2 1 3 | 63.79 | 30 |
| 1 1 8 | 67.25 | 18 |
| 2 1 5 | 70.22 | 23 |
| 2 0 8 | 79.25 | 12 |

Structural model:
Cell: 3.447 3.447 13.568 Å, 90.00 90.00 90.00°
Fractional positions:
Pr 0.000 0.000 0.000
Pr 0.500 0.500 0.500
Ho 0.000 0.000 0.249
Ho 0.500 0.500 0.749
Os 0.000 0.000 0.632
Os 0.500 0.500 0.132